No. 1
Theoretical X-ray powder pattern
Compound: Tl4SnHg2
Radiation: Cu Kα
Structure: a structure optimized by DFT (PBE)
Neutral-atom scattering factors, no anomalous dispersion.

Top 8 peaks for 2θ from 10° to 90°, in order of falling intensity:
- 2θ 32.6, intensity 100
- 2θ 35.9, intensity 21
- 2θ 33.1, intensity 21
- 2θ 62.5, intensity 16
- 2θ 49.6, intensity 14
- 2θ 58.8, intensity 12
- 2θ 43.8, intensity 12
- 2θ 57.9, intensity 11

Structural model:
Cell lengths 8.2668, 10.8234, 5.0029 Å; angles 90.00, 90.00, 90.00 degrees
Atoms (fractional coordinates):
1 Tl 0.2343 0.9999 0.0000
2 Tl 0.2489 0.2504 0.5000
3 Tl 0.2511 0.7504 0.5000
4 Tl 0.2657 0.4999 0.0000
5 Tl 0.7343 0.5001 0.0000
6 Tl 0.7489 0.2496 0.5000
7 Tl 0.7511 0.7496 0.5000
8 Tl 0.7657 0.0001 0.0000
9 Sn 0.0000 0.0000 0.5000
10 Sn 0.5000 0.5000 0.5000
11 Hg 0.0009 0.7165 0.0000
12 Hg 0.4991 0.2165 0.0000
13 Hg 0.5009 0.7835 0.0000
14 Hg 0.9991 0.2835 0.0000

=====

No. 2
Theoretical X-ray powder pattern
Compound: Tl3SnHg
Radiation: Cu Kα
Structure: a structure optimized by DFT (PBE)
Neutral-atom scattering factors, no anomalous dispersion.

Top 8 peaks for 2θ from 10° to 90°, in order of falling intensity:
- 2θ 32.2, intensity 100
- 2θ 32.1, intensity 86
- 2θ 33.4, intensity 49
- 2θ 33.6, intensity 37
- 2θ 58.9, intensity 36
- 2θ 48.1, intensity 28
- 2θ 56.3, intensity 19
- 2θ 44.0, intensity 16

Structural model:
Cell lengths 9.0695, 9.0695, 6.7245 Å; angles 108.61, 108.61, 34.45 degrees
Atoms (fractional coordinates):
1 Tl 0.0217 0.0217 0.2741
2 Tl 0.1887 0.1887 0.0438
3 Tl 0.3928 0.3928 0.3727
4 Tl 0.6072 0.6072 0.6273
5 Tl 0.8113 0.8113 0.9562
6 Tl 0.9783 0.9783 0.7259
7 Sn 0.2259 0.2259 0.5854
8 Sn 0.7741 0.7741 0.4146
9 Hg 0.4075 0.4075 0.8935
10 Hg 0.5925 0.5925 0.1065

=====

No. 3
Theoretical X-ray powder pattern
Compound: Tl6Sn2Hg
Radiation: Cu Kα
Structure: a structure optimized by DFT (PBE)
Neutral-atom scattering factors, no anomalous dispersion.

Top 8 peaks for 2θ from 10° to 90°, in order of falling intensity:
- 2θ 32.6, intensity 100
- 2θ 32.3, intensity 100
- 2θ 58.0, intensity 39
- 2θ 46.6, intensity 37
- 2θ 58.3, intensity 20
- 2θ 57.4, intensity 19
- 2θ 77.7, intensity 17
- 2θ 77.1, intensity 16

Structural model:
Cell lengths 5.4868, 5.4868, 10.2341 Å; angles 90.00, 90.00, 120.00 degrees
Atoms (fractional coordinates):
1 Tl 0.0000 0.0000 0.1789
2 Tl 0.0000 0.0000 0.8211
3 Tl 0.3333 0.6667 0.0620
4 Tl 0.3333 0.6667 0.4015
5 Tl 0.6667 0.3333 0.5985
6 Tl 0.6667 0.3333 0.9380
7 Sn 0.3333 0.6667 0.7278
8 Sn 0.6667 0.3333 0.2722
9 Hg 0.0000 0.0000 0.5000